# Rb2I2Cl7
Calculated powder diffractogram, Cu Kα X-rays. Input: a crystal structure in Alexandria, relaxed with PBE.
Neutral-atom scattering factors, no anomalous dispersion.

Crystal structure
```
Rb2I2Cl7
1.0
8.3506 0.0000 0.0000
0.0000 19.1453 0.0000
-0.4700 0.0000 5.3353
Rb I Cl
4 4 14
Direct
0.1136 0.1263 0.2435
0.1136 0.3737 0.7435
0.8864 0.6263 0.2565
0.8864 0.8737 0.7565
0.3716 0.6121 0.7569
0.3716 0.8879 0.2569
0.6284 0.1121 0.7431
0.6284 0.3879 0.2431
0.0991 0.5548 0.7816
0.0991 0.9452 0.2816
0.1140 0.7479 0.5606
0.1140 0.7521 0.0606
0.3525 0.1642 0.7711
0.3525 0.3358 0.2711
0.5000 0.0000 0.5000
0.5000 0.5000 0.0000
0.6475 0.6642 0.7289
0.6475 0.8358 0.2289
0.8860 0.2479 0.9394
0.8860 0.2521 0.4394
0.9009 0.0548 0.7184
0.9009 0.4452 0.2184
```

Most intense lines, 10 to 80 degrees two-theta, sorted by position:
2θ/deg	intensity
18.5	61
19.0	40
19.5	72
21.1	100
22.6	79
25.6	78
31.2	30
33.6	29
34.0	28
35.0	30
36.4	27
38.6	48


# Rb2ReICl6
Calculated powder diffractogram, Cu Kα X-rays. Input: a crystal structure in Alexandria, relaxed with PBE.
Neutral-atom scattering factors, no anomalous dispersion.

Crystal structure
```
Rb2ReICl6
1.0
0.0000 5.7434 5.7434
5.7434 0.0000 5.7434
5.7434 5.7434 0.0000
Rb Re I Cl
2 1 1 6
Direct
0.2500 0.2500 0.2500
0.7500 0.7500 0.7500
0.0000 0.0000 0.0000
0.5000 0.5000 0.5000
0.2057 0.2057 0.7943
0.2057 0.7943 0.2057
0.2057 0.7943 0.7943
0.7943 0.2057 0.2057
0.7943 0.2057 0.7943
0.7943 0.7943 0.2057
```

Most intense lines, 10 to 80 degrees two-theta, sorted by position:
2θ/deg	intensity
13.4	16
15.4	31
21.9	100
31.1	49
34.9	10
38.4	39
44.6	31
50.2	29
55.4	9
60.3	29
69.4	12
73.8	11


# Rb3Sn2I2Cl5
Calculated powder diffractogram, Cu Kα X-rays. Input: a crystal structure in Alexandria, relaxed with PBE.
Neutral-atom scattering factors, no anomalous dispersion.

Crystal structure
```
Rb3Sn2I2Cl5
1.0
-2.8012 2.8012 14.8933
2.8012 -2.8012 14.8933
2.8012 2.8012 -14.8933
Rb Sn I Cl
3 2 2 5
Direct
0.0000 0.0000 0.0000
0.1729 0.1729 0.0000
0.8271 0.8271 0.0000
0.4053 0.4053 0.0000
0.5947 0.5947 0.0000
0.2994 0.2994 0.0000
0.7006 0.7006 0.0000
0.0915 0.5915 0.5000
0.4085 0.9085 0.5000
0.5000 0.5000 0.0000
0.5915 0.0915 0.5000
0.9085 0.4085 0.5000
```

Most intense lines, 10 to 80 degrees two-theta, sorted by position:
2θ/deg	intensity
16.1	23
22.4	100
26.3	60
28.8	21
30.0	29
31.4	25
31.9	87
37.8	27
41.8	35
44.4	39
45.8	31
51.6	22


# Rb2SrI2Cl2
Calculated powder diffractogram, Cu Kα X-rays. Input: a crystal structure in Alexandria, relaxed with PBE.
Neutral-atom scattering factors, no anomalous dispersion.

Crystal structure
```
Rb2SrI2Cl2
1.0
-2.8319 2.8319 9.5655
2.8319 -2.8319 9.5655
2.8319 2.8319 -9.5655
Rb Sr I Cl
2 1 2 2
Direct
0.1356 0.1356 0.0000
0.8644 0.8644 0.0000
0.5000 0.5000 0.0000
0.3288 0.3288 0.0000
0.6712 0.6712 0.0000
0.0000 0.5000 0.5000
0.5000 0.0000 0.5000
```

Most intense lines, 10 to 80 degrees two-theta, sorted by position:
2θ/deg	intensity
22.2	100
28.0	33
28.1	59
29.1	34
31.6	73
36.0	33
42.7	41
42.8	37
45.3	26
51.0	22
54.1	29
65.1	21


# Rb6TeI2Cl2
Calculated powder diffractogram, Cu Kα X-rays. Input: a crystal structure in Alexandria, relaxed with PBE.
Neutral-atom scattering factors, no anomalous dispersion.

Crystal structure
```
Rb6TeI2Cl2
1.0
4.3639 -7.6737 0.0000
4.3639 7.6737 0.0000
-3.0820 0.0000 8.5665
Rb Te I Cl
6 1 2 2
Direct
0.0485 0.4082 0.2082
0.2565 0.2565 0.7828
0.4082 0.0485 0.2082
0.5918 0.9515 0.7918
0.7435 0.7435 0.2172
0.9515 0.5918 0.7918
0.0000 0.0000 0.0000
0.1699 0.8301 0.5000
0.8301 0.1699 0.5000
0.3391 0.6609 0.0000
0.6609 0.3391 0.0000
```

Most intense lines, 10 to 80 degrees two-theta, sorted by position:
2θ/deg	intensity
12.2	27
15.5	14
24.4	53
24.6	100
34.4	36
35.1	36
35.5	44
43.2	20
44.1	12
50.4	10
56.9	13
57.3	9


# Rb2VI6Cl
Calculated powder diffractogram, Cu Kα X-rays. Input: a crystal structure in Alexandria, relaxed with PBE.
Neutral-atom scattering factors, no anomalous dispersion.

Crystal structure
```
Rb2VI6Cl
1.0
-4.1644 4.1644 6.2173
4.1644 -4.1644 6.2173
4.1644 4.1644 -6.2173
Rb V I Cl
2 1 6 1
Direct
0.2500 0.7500 0.5000
0.7500 0.2500 0.5000
0.0000 0.0000 0.0000
0.2181 0.2181 0.0000
0.2322 0.2322 0.4644
0.2322 0.7678 0.0000
0.7678 0.2322 0.0000
0.7678 0.7678 0.5356
0.7819 0.7819 0.0000
0.5000 0.5000 0.0000
```

Most intense lines, 10 to 80 degrees two-theta, sorted by position:
2θ/deg	intensity
12.8	11
15.0	9
25.7	100
28.7	26
30.4	49
42.3	33
43.5	17
49.1	12
51.2	27
52.9	16
67.6	10
79.0	8